The following is a simulated XRD peak list of Sr2FeMoNO5. It was derived from a DFT-relaxed cell (GGA+U, the Materials Project), using Cu Kα (weighted mean of Kα1 and Kα2).

```
data_Sr2FeMoNO5
_cell_length_a 7.940
_cell_length_b 7.924
_cell_length_c 5.716
_cell_angle_alpha 90.00
_cell_angle_beta 133.87
_cell_angle_gamma 90.00
_symmetry_space_group_name_H-M 'C 1 m 1'
_symmetry_Int_Tables_number 8
loop_
_symmetry_equiv_pos_as_xyz
'x,y,z'
'x,-y,z'
'x+1/2,y+1/2,z'
'x+1/2,-y+1/2,z'
loop_
_atom_site_label
_atom_site_type_symbol
_atom_site_fract_x
_atom_site_fract_y
_atom_site_fract_z
Sr1 Sr 0.000 0.250 0.000
Fe1 Fe 0.008 0.000 0.513
Mo1 Mo 0.498 0.000 0.496
N1 N 0.279 0.000 0.066
O1 O 0.034 0.254 0.566
O2 O 0.274 0.500 0.555
O3 O 0.287 0.500 0.057
O4 O 0.294 0.000 0.577
```

Largest 10 diffraction maxima, in order of rising 2θ, 2θ = 10–80°:
2θ/deg	Rel. int.
31.30	1000
31.91	449
38.84	74
43.95	165
45.76	325
55.33	200
56.47	277
56.54	92
65.35	139
66.71	95

---

The following is a simulated XRD peak list of TiMnO3. It was derived from a DFT-relaxed cell (GGA+U, the Materials Project), using Cu Kα (weighted mean of Kα1 and Kα2).

```
data_TiMnO3
_cell_length_a 3.272
_cell_length_b 5.957
_cell_length_c 6.173
_cell_angle_alpha 100.60
_cell_angle_beta 105.31
_cell_angle_gamma 92.30
_symmetry_space_group_name_H-M 'P -1'
_symmetry_Int_Tables_number 2
loop_
_symmetry_equiv_pos_as_xyz
'x,y,z'
'-x,-y,-z'
loop_
_atom_site_label
_atom_site_type_symbol
_atom_site_fract_x
_atom_site_fract_y
_atom_site_fract_z
Ti1 Ti 0.122 0.427 0.257
Mn1 Mn 0.361 0.114 0.780
O1 O 0.066 0.691 0.103
O2 O 0.277 0.367 0.577
O3 O 0.418 0.782 0.793
```

Largest 10 diffraction maxima, in order of rising 2θ, 2θ = 10–80°:
2θ/deg	Rel. int.
15.20	229
30.66	1000
31.42	693
32.48	857
33.65	854
50.93	338
53.04	257
53.65	267
55.11	310
56.28	315

---

The following is a simulated XRD peak list of LiTaWO7. It was derived from a DFT-relaxed cell (GGA+U, the Materials Project), using Cu Kα (weighted mean of Kα1 and Kα2).

```
data_LiTaWO7
_cell_length_a 7.440
_cell_length_b 7.527
_cell_length_c 10.365
_cell_angle_alpha 90.00
_cell_angle_beta 90.00
_cell_angle_gamma 90.00
_symmetry_space_group_name_H-M 'I m m a'
_symmetry_Int_Tables_number 74
_symmetry_space_group_name_Hall '-I 2b 2'
loop_
_atom_site_label
_atom_site_type_symbol
_atom_site_fract_x
_atom_site_fract_y
_atom_site_fract_z
Li1 Li 0.250 0.250 0.250
Ta1 Ta 0.000 0.000 0.000
W1 W 0.250 0.250 0.750
O1 O 0.000 0.250 0.073
O2 O 0.000 0.250 0.296
O3 O 0.000 0.250 0.692
O4 O 0.186 0.068 0.874
```

Largest 10 diffraction maxima, in order of rising 2θ, 2θ = 10–80°:
2θ/deg	Rel. int.
14.54	866
14.66	1000
27.93	368
28.11	409
28.46	328
29.33	676
29.56	554
33.88	256
49.22	340
58.12	198

---

The following is a simulated XRD peak list of MgFeSb4O12. It was derived from a DFT-relaxed cell (GGA+U, the Materials Project), using Cu Kα (weighted mean of Kα1 and Kα2).

```
data_MgFeSb4O12
_cell_length_a 5.301
_cell_length_b 5.529
_cell_length_c 7.588
_cell_angle_alpha 88.50
_cell_angle_beta 89.89
_cell_angle_gamma 89.62
_symmetry_space_group_name_H-M 'P 1'
_symmetry_Int_Tables_number 1
loop_
_symmetry_equiv_pos_as_xyz
'x,y,z'
loop_
_atom_site_label
_atom_site_type_symbol
_atom_site_fract_x
_atom_site_fract_y
_atom_site_fract_z
Mg1 Mg 0.000 0.000 0.000
Fe1 Fe 0.972 0.133 0.540
Sb1 Sb 0.000 0.572 0.781
Sb2 Sb 0.004 0.591 0.282
Sb3 Sb 0.495 0.076 0.780
Sb4 Sb 0.497 0.092 0.278
O1 O 0.119 0.540 0.534
O2 O 0.176 0.258 0.843
O3 O 0.194 0.900 0.221
O4 O 0.285 0.793 0.853
O5 O 0.292 0.382 0.213
O6 O 0.367 0.067 0.532
O7 O 0.631 0.094 0.028
O8 O 0.710 0.359 0.708
O9 O 0.732 0.822 0.358
O10 O 0.800 0.291 0.331
O11 O 0.823 0.895 0.733
O12 O 0.887 0.626 0.029
```

Largest 10 diffraction maxima, in order of rising 2θ, 2θ = 10–80°:
2θ/deg	Rel. int.
23.17	1000
23.33	1000
23.46	921
32.40	540
32.87	573
33.03	573
33.57	939
33.82	413
47.37	301
53.45	286

---

The following is a simulated XRD peak list of FeSO8. It was derived from a DFT-relaxed cell (GGA+U, the Materials Project), using Cu Kα (weighted mean of Kα1 and Kα2).

```
data_FeSO8
_cell_length_a 6.766
_cell_length_b 8.353
_cell_length_c 12.163
_cell_angle_alpha 78.91
_cell_angle_beta 89.30
_cell_angle_gamma 87.71
_symmetry_space_group_name_H-M 'P -1'
_symmetry_Int_Tables_number 2
loop_
_symmetry_equiv_pos_as_xyz
'x,y,z'
'-x,-y,-z'
loop_
_atom_site_label
_atom_site_type_symbol
_atom_site_fract_x
_atom_site_fract_y
_atom_site_fract_z
Fe1 Fe 0.170 0.383 0.294
Fe2 Fe 0.172 0.403 0.574
S1 S 0.069 0.315 0.851
S2 S 0.447 0.735 0.561
O1 O 0.029 0.510 0.173
O2 O 0.037 0.191 0.571
O3 O 0.053 0.164 0.254
O4 O 0.080 0.802 0.109
O5 O 0.096 0.480 0.412
O6 O 0.154 0.287 0.738
O7 O 0.155 0.035 0.263
O8 O 0.235 0.317 0.924
O9 O 0.288 0.849 0.828
O10 O 0.326 0.591 0.609
O11 O 0.330 0.884 0.537
O12 O 0.381 0.968 0.788
O13 O 0.402 0.255 0.346
O14 O 0.436 0.300 0.538
O15 O 0.443 0.544 0.177
O16 O 0.454 0.443 0.114
```

Largest 10 diffraction maxima, in order of rising 2θ, 2θ = 10–80°:
2θ/deg	Rel. int.
10.80	1000
13.10	136
16.67	382
17.37	316
24.83	223
24.99	192
25.90	295
26.73	369
28.15	152
34.95	142

---

The following is a simulated XRD peak list of Li3Mn2SnO6. It was derived from a DFT-relaxed cell (GGA+U, the Materials Project), using Cu Kα (weighted mean of Kα1 and Kα2).

```
data_Li3Mn2SnO6
_cell_length_a 6.196
_cell_length_b 6.890
_cell_length_c 6.921
_cell_angle_alpha 94.74
_cell_angle_beta 103.16
_cell_angle_gamma 116.65
_symmetry_space_group_name_H-M 'P -1'
_symmetry_Int_Tables_number 2
loop_
_symmetry_equiv_pos_as_xyz
'x,y,z'
'-x,-y,-z'
loop_
_atom_site_label
_atom_site_type_symbol
_atom_site_fract_x
_atom_site_fract_y
_atom_site_fract_z
Li1 Li 0.232 0.300 0.332
Li2 Li 0.238 0.652 0.655
Li3 Li 0.248 0.999 0.000
Mn1 Mn 0.008 0.845 0.338
Mn2 Mn 0.486 0.152 0.658
Sn1 Sn 0.000 0.500 0.000
Sn2 Sn 0.500 0.500 0.000
O1 O 0.112 0.604 0.319
O2 O 0.112 0.934 0.674
O3 O 0.143 0.275 0.021
O4 O 0.343 0.064 0.328
O5 O 0.346 0.398 0.683
O6 O 0.365 0.733 0.995
```

Largest 10 diffraction maxima, in order of rising 2θ, 2θ = 10–80°:
2θ/deg	Rel. int.
13.45	128
17.73	1000
29.65	83
33.69	203
33.89	316
35.36	153
41.12	252
41.34	487
60.05	140
62.50	97